(1)
For PrSi4Pt3, the PBE geometry in OQMD gives the theoretical powder diffractogram in this record (a wavelength of 1.5418 Å).
No peak broadening, texture or thermal motion is included.

Most intense lines, 5 to 70 degrees two-theta, sorted by position:
two_theta  d (Å)  intensity
22.13  4.017  33
26.52  3.361  57
28.34  3.149  100
30.60  2.922  40
32.11  2.788  48
34.39  2.608  47
37.08  2.425  29
37.92  2.373  72
40.41  2.232  28
46.93  1.936  36
56.62  1.626  31
59.45  1.555  26

Structural model:
Cell: 5.444 3.872 6.766 Å, 90.00 96.03 90.00°
Fractional coordinates of all 8 atoms:
Pr 0.000 0.000 0.000
Si 0.174 0.500 0.694
Si 0.488 0.000 0.272
Si 0.513 0.000 0.754
Si 0.804 0.500 0.309
Pt 0.250 0.500 0.354
Pt 0.510 0.500 0.999
Pt 0.848 0.000 0.530

***

(2)
For PrSiSnPt2, the PBE geometry in OQMD gives the theoretical powder diffractogram in this record (a wavelength of 1.5418 Å).
No peak broadening, texture or thermal motion is included.

Most intense lines, 5 to 70 degrees two-theta, sorted by position:
two_theta  d (Å)  intensity
26.37  3.379  18
30.16  2.963  7
32.44  2.760  11
33.55  2.671  100
39.54  2.279  10
41.41  2.180  42
44.87  2.020  17
47.34  1.920  12
49.77  1.832  7
54.29  1.690  8
59.99  1.542  18
64.68  1.441  12

Structural model:
Cell: 4.361 4.361 10.694 Å, 90.00 90.00 90.00°
Fractional coordinates of all 10 atoms:
Pr 0.250 0.250 0.232
Pr 0.750 0.750 0.768
Si 0.250 0.250 0.884
Si 0.750 0.750 0.116
Sn 0.250 0.750 0.500
Sn 0.750 0.250 0.500
Pt 0.250 0.250 0.662
Pt 0.250 0.750 0.000
Pt 0.750 0.250 0.000
Pt 0.750 0.750 0.338

***

(3)
For TbPrPt4, the PBE geometry in OQMD gives the theoretical powder diffractogram in this record (a wavelength of 1.5418 Å).
No peak broadening, texture or thermal motion is included.

Most intense lines, 5 to 70 degrees two-theta, sorted by position:
two_theta  d (Å)  intensity
19.84  4.475  14
32.68  2.740  20
38.52  2.337  100
40.31  2.237  49
46.89  1.938  9
51.39  1.778  4
58.32  1.582  8
62.24  1.492  33
68.48  1.370  30

Structural model:
Cell: 5.480 5.480 5.480 Å, 60.00 60.00 60.00°
Fractional coordinates of all 6 atoms:
Tb 0.000 0.000 0.000
Pr 0.250 0.250 0.250
Pt 0.124 0.625 0.625
Pt 0.625 0.124 0.625
Pt 0.625 0.625 0.124
Pt 0.625 0.625 0.625

***

(4)
For PrYPt2, the PBE geometry in OQMD gives the theoretical powder diffractogram in this record (a wavelength of 1.5418 Å).
No peak broadening, texture or thermal motion is included.

Most intense lines, 5 to 70 degrees two-theta, sorted by position:
two_theta  d (Å)  intensity
19.90  4.461  30
31.44  2.845  64
34.03  2.634  35
35.31  2.542  100
39.33  2.291  48
39.46  2.284  97
40.55  2.225  21
45.29  2.002  17
52.98  1.728  41
57.76  1.596  16
66.08  1.414  18
67.94  1.380  20

Structural model:
Cell: 4.582 7.260 5.654 Å, 90.00 90.00 90.00°
Fractional coordinates of all 8 atoms:
Pr 0.000 0.070 0.000
Pr 0.500 0.930 0.500
Y 0.000 0.566 0.220
Y 0.500 0.434 0.720
Pt 0.000 0.220 0.514
Pt 0.000 0.693 0.707
Pt 0.500 0.307 0.207
Pt 0.500 0.780 0.014

***

(5)
For PrPu3Se4, the PBE geometry in OQMD gives the theoretical powder diffractogram in this record (a wavelength of 1.5418 Å).
No peak broadening, texture or thermal motion is included.

Most intense lines, 5 to 70 degrees two-theta, sorted by position:
two_theta  d (Å)  intensity
12.96  6.832  3
24.98  3.565  2
26.10  3.414  38
30.23  2.957  100
39.59  2.277  1
43.28  2.091  76
45.38  1.999  1
51.24  1.783  20
53.70  1.707  27
62.87  1.478  13
69.25  1.357  7
69.33  1.355  1

Structural model:
Cell: 8.370 11.825 4.178 Å, 90.00 90.00 90.00°
Fractional coordinates of all 16 atoms:
Pr 0.000 0.000 0.000
Pr 0.500 0.500 0.000
Pu 0.000 0.500 0.000
Pu 0.250 0.250 0.500
Pu 0.250 0.750 0.500
Pu 0.500 0.000 0.000
Pu 0.750 0.250 0.500
Pu 0.750 0.750 0.500
Se 0.000 0.254 0.000
Se 0.000 0.746 0.000
Se 0.242 0.500 0.500
Se 0.258 0.000 0.500
Se 0.500 0.246 0.000
Se 0.500 0.754 0.000
Se 0.742 0.000 0.500
Se 0.758 0.500 0.500

***

(6)
For PrPuTe4, the PBE geometry in OQMD gives the theoretical powder diffractogram in this record (a wavelength of 1.5418 Å).
No peak broadening, texture or thermal motion is included.

Most intense lines, 5 to 70 degrees two-theta, sorted by position:
two_theta  d (Å)  intensity
22.19  4.006  27
28.24  3.160  30
29.65  3.013  31
29.95  2.983  79
34.64  2.590  100
35.95  2.498  56
40.36  2.235  62
50.87  1.795  28
54.78  1.676  18
55.14  1.666  33
58.40  1.580  21
69.71  1.349  26

Structural model:
Cell: 4.469 4.469 9.038 Å, 90.00 90.00 90.00°
Fractional coordinates of all 6 atoms:
Pr 0.000 0.000 0.000
Pu 0.500 0.500 0.461
Te 0.000 0.000 0.367
Te 0.000 0.500 0.720
Te 0.500 0.000 0.720
Te 0.500 0.500 0.102

***

(7)
For Rb2Pr, the PBE geometry in OQMD gives the theoretical powder diffractogram in this record (a wavelength of 1.5418 Å).
No peak broadening, texture or thermal motion is included.

Most intense lines, 5 to 70 degrees two-theta, sorted by position:
two_theta  d (Å)  intensity
22.69  3.919  43
26.67  3.342  100
27.88  3.200  26
39.84  2.262  20
42.37  2.133  38
46.34  1.959  31
52.19  1.753  9
54.27  1.690  14
54.95  1.671  11
62.73  1.481  10
64.59  1.443  24
67.62  1.385  5

Structural model:
Cell: 7.837 7.837 7.837 Å, 60.00 60.00 60.00°
Fractional coordinates of all 6 atoms:
Rb 0.000 0.000 0.000
Rb 0.000 0.000 0.500
Rb 0.000 0.500 0.000
Rb 0.500 0.000 0.000
Pr 0.375 0.375 0.375
Pr 0.625 0.625 0.625

***

(8)
For RbPrSnS3, the PBE geometry in OQMD gives the theoretical powder diffractogram in this record (a wavelength of 1.5418 Å).
No peak broadening, texture or thermal motion is included.

Most intense lines, 5 to 70 degrees two-theta, sorted by position:
two_theta  d (Å)  intensity
11.46  7.720  100
22.52  3.948  39
23.04  3.860  22
26.48  3.366  72
27.79  3.210  17
28.99  3.080  20
31.22  2.865  72
36.97  2.431  19
37.35  2.407  20
42.64  2.121  15
43.48  2.081  24
52.81  1.734  17

Structural model:
Cell: 12.319 4.162 15.440 Å, 90.00 90.02 90.00°
Fractional coordinates of all 24 atoms:
Rb 0.103 0.250 0.235
Rb 0.397 0.250 0.735
Rb 0.603 0.750 0.265
Rb 0.897 0.750 0.765
Pr 0.146 0.250 0.503
Pr 0.354 0.250 0.003
Pr 0.646 0.750 0.997
Pr 0.854 0.750 0.497
Sn 0.093 0.750 0.957
Sn 0.407 0.750 0.457
Sn 0.593 0.250 0.543
Sn 0.907 0.250 0.043
S 0.049 0.750 0.403
S 0.179 0.250 0.874
S 0.224 0.750 0.085
S 0.276 0.750 0.585
S 0.321 0.250 0.374
S 0.451 0.750 0.903
S 0.549 0.250 0.097
S 0.679 0.750 0.626
S 0.724 0.250 0.415
S 0.776 0.250 0.915
S 0.821 0.750 0.126
S 0.951 0.250 0.597